# 1
Theoretical powder X-ray diffraction pattern of KSmTiO4 for Cu Kα, 1.54184 Å, from a DFT-relaxed cell (GGA-PBE, Alexandria).
Lines closer than 0.1° are merged.

Atomic structure:
```
data_KSmTiO4
_chemical_formula_sum 'K4 Sm4 Ti4 O16'
_cell_length_a 13.2879
_cell_length_b 5.5048
_cell_length_c 5.4199
_cell_angle_alpha 90.00
_cell_angle_beta 90.00
_cell_angle_gamma 90.00
_symmetry_space_group_name_H-M 'P b c m'
_symmetry_Int_Tables_number 57
loop_
_symmetry_equiv_pos_as_xyz
'x,y,z'
'-x,-y,-z'
'-x,-y,z+1/2'
'x,y,-z+1/2'
'x,-y+1/2,-z'
'-x,y+1/2,z'
'-x,y+1/2,-z+1/2'
'x,-y+1/2,z+1/2'
loop_
_atom_site_label
_atom_site_type_symbol
_atom_site_fract_x
_atom_site_fract_y
_atom_site_fract_z
K1 K 0.0948 0.0156 0.2500
Sm1 Sm 0.3974 0.0211 0.2500
Ti1 Ti 0.2505 0.5056 0.2500
O1 O 0.1180 0.5250 0.2500
O2 O 0.2712 0.2500 0.0000
O3 O 0.2920 0.7500 0.0000
O4 O 0.4359 0.0594 0.7500
```

Principal peaks in the range 10 to 90 degrees two-theta, low angle first:
hkl	2θ/deg	d/Å	intensity
2 1 1	26.70	3.339	43
3 1 1	30.71	2.911	100
0 2 0	32.53	2.752	28
0 0 2	33.06	2.710	30
0 2 2	47.06	1.931	31
3 1 3	57.59	1.601	17


# 2
Theoretical powder X-ray diffraction pattern of K2SnO6 for Cu Kα, 1.54184 Å, from a DFT-relaxed cell (GGA-PBE, Alexandria).
Lines closer than 0.1° are merged.

Atomic structure:
```
data_K2SnO6
_chemical_formula_sum 'K6 Sn3 O18'
_cell_length_a 7.1643
_cell_length_b 7.1643
_cell_length_c 12.4416
_cell_angle_alpha 90.00
_cell_angle_beta 90.00
_cell_angle_gamma 120.00
_symmetry_space_group_name_H-M 'R -3'
_symmetry_Int_Tables_number 148
_symmetry_space_group_name_Hall '-R 3'
loop_
_atom_site_label
_atom_site_type_symbol
_atom_site_fract_x
_atom_site_fract_y
_atom_site_fract_z
K1 K 0.0000 0.0000 0.1928
Sn1 Sn 0.0000 0.0000 0.5000
O1 O 0.0238 0.7496 0.5659
```

Principal peaks in the range 10 to 90 degrees two-theta, low angle first:
hkl	2θ/deg	d/Å	intensity
1 0 1	15.96	5.552	100
0 0 3	21.43	4.147	67
1 1 0	24.86	3.582	71
1 1 3	33.04	2.711	94
3 0 0	43.77	2.068	34
0 3 3	49.23	1.851	34


# 3
Theoretical powder X-ray diffraction pattern of K2SnO3 for Cu Kα, 1.54184 Å, from a DFT-relaxed cell (GGA-PBE, Alexandria).
Lines closer than 0.1° are merged.

Atomic structure:
```
data_K2SnO3
_chemical_formula_sum 'K8 Sn4 O12'
_cell_length_a 5.8449
_cell_length_b 10.5650
_cell_length_c 7.1073
_cell_angle_alpha 90.00
_cell_angle_beta 90.00
_cell_angle_gamma 90.00
_symmetry_space_group_name_H-M 'P n m a'
_symmetry_Int_Tables_number 62
loop_
_symmetry_equiv_pos_as_xyz
'x,y,z'
'-x,-y,-z'
'-x+1/2,-y,z+1/2'
'x+1/2,y,-z+1/2'
'x+1/2,-y+1/2,-z+1/2'
'-x+1/2,y+1/2,z+1/2'
'-x,y+1/2,-z'
'x,-y+1/2,z'
loop_
_atom_site_label
_atom_site_type_symbol
_atom_site_fract_x
_atom_site_fract_y
_atom_site_fract_z
K1 K 0.2346 0.0874 0.1145
Sn1 Sn 0.2275 0.7500 0.1596
O1 O 0.0110 0.1213 0.7248
O2 O 0.1546 0.7500 0.8907
```

Principal peaks in the range 10 to 90 degrees two-theta, low angle first:
hkl	2θ/deg	d/Å	intensity
0 1 1	15.02	5.897	100
0 2 0	16.78	5.283	52
0 3 1	28.28	3.156	44
1 0 2	29.42	3.036	87
1 3 1	32.24	2.777	82
2 3 1	42.14	2.144	60


# 4
Theoretical powder X-ray diffraction pattern of K2Sn3O7 for Cu Kα, 1.54184 Å, from a DFT-relaxed cell (GGA-PBE, Alexandria).
Lines closer than 0.1° are merged.

Atomic structure:
```
data_K2Sn3O7
_chemical_formula_sum 'K8 Sn12 O28'
_cell_length_a 17.1426
_cell_length_b 3.1953
_cell_length_c 12.9024
_cell_angle_alpha 90.00
_cell_angle_beta 90.00
_cell_angle_gamma 90.00
_symmetry_space_group_name_H-M 'P n m a'
_symmetry_Int_Tables_number 62
loop_
_symmetry_equiv_pos_as_xyz
'x,y,z'
'-x,-y,-z'
'-x+1/2,-y,z+1/2'
'x+1/2,y,-z+1/2'
'x+1/2,-y+1/2,-z+1/2'
'-x+1/2,y+1/2,z+1/2'
'-x,y+1/2,-z'
'x,-y+1/2,z'
loop_
_atom_site_label
_atom_site_type_symbol
_atom_site_fract_x
_atom_site_fract_y
_atom_site_fract_z
K1 K 0.0662 0.2500 0.1074
K2 K 0.1939 0.2500 0.5602
Sn1 Sn 0.0187 0.7500 0.3882
Sn2 Sn 0.1242 0.2500 0.8344
Sn3 Sn 0.2085 0.2500 0.2920
O1 O 0.0193 0.2500 0.7584
O2 O 0.0514 0.7500 0.5531
O3 O 0.0946 0.7500 0.9297
O4 O 0.0994 0.2500 0.3693
O5 O 0.1737 0.7500 0.7406
O6 O 0.1791 0.7500 0.1973
O7 O 0.2489 0.2500 0.8898
```

Principal peaks in the range 10 to 90 degrees two-theta, low angle first:
hkl	2θ/deg	d/Å	intensity
0 0 2	13.73	6.451	52
1 0 2	14.67	6.038	86
2 0 2	17.20	5.154	45
5 0 1	26.91	3.314	57
6 0 1	32.09	2.790	58
3 1 2	35.04	2.561	100